Calculated powder XRD pattern of Pm2CrAgO6 for copper Kα, from DFT lattice parameters and positions (PBE+U).

The 10 most intense peaks (15 to 90 degrees two-theta), by angle:
(0 0 1), 17.22 deg, rel. 141; (1 1 1), 29.27 deg, rel. 1000; (2 0 0), 33.45 deg, rel. 339; (0 0 2), 34.85 deg, rel. 100; (2 2 0), 48.04 deg, rel. 194; (2 0 2), 49.09 deg, rel. 269; (3 1 1), 57.25 deg, rel. 295; (1 1 3), 59.10 deg, rel. 104; (2 2 2), 60.71 deg, rel. 87; (3 1 3), 79.50 deg, rel. 89

Crystal structure
Cell lengths 5.3570, 5.3570, 5.1481 Å; angles 90.00, 90.00, 90.00 degrees
Fractional positions:
1 Pm 0.0000 0.5000 0.0000
2 Pm 0.5000 0.0000 0.0000
3 Cr 0.0000 0.0000 0.6086
4 Ag 0.5000 0.5000 0.5161
5 O 0.0000 0.0000 0.2715
6 O 0.2259 0.2259 0.7431
7 O 0.2259 0.7741 0.7431
8 O 0.5000 0.5000 0.1043
9 O 0.7741 0.2259 0.7431
10 O 0.7741 0.7741 0.7431